# 1
The following is a simulated powder diffraction line list of YTa. It was derived from a cell relaxed with GGA-PBE, using Cu Kα (weighted mean of Kα1 and Kα2).
Intensities are scaled so that the largest is 1000.

Most intense lines, 2θ from 5° to 70°, by angle:
d [Å]	2theta	I_rel
5.290	16.76	147
2.758	32.46	296
2.645	33.89	267
2.446	36.75	1000
1.909	47.64	206
1.592	57.91	172
1.525	60.74	35
1.486	62.52	212
1.379	67.98	36
1.364	68.82	204

Structure:
abc: 3.185 3.185 5.290
angles: 90.00 90.00 120.00
Sites, in units of the cell vectors:
Y 0.000 0.000 0.000
Ta 0.333 0.667 0.500


# 2
The following is a simulated powder diffraction line list of WSeS. It was derived from a cell relaxed with GGA-PBE, using Cu Kα (weighted mean of Kα1 and Kα2).
Intensities are scaled so that the largest is 1000.

Most intense lines, 2θ from 5° to 70°, by angle:
d [Å]	2theta	I_rel
11.043	8.01	1000
5.521	16.05	74
2.794	32.04	67
2.630	34.09	68
2.508	35.81	40
2.375	37.89	91
2.236	40.34	46
2.101	43.05	77
1.850	49.25	36
1.621	56.79	41

Structure:
abc: 11.162 11.162 5.630
angles: 90.00 90.00 163.25
Sites, in units of the cell vectors:
W 0.000 0.000 0.000
W 0.500 0.500 0.489
Se 0.077 0.923 0.663
Se 0.923 0.077 0.663
S 0.429 0.571 0.161
S 0.571 0.429 0.161


# 3
The following is a simulated powder diffraction line list of ZrPa. It was derived from a cell relaxed with GGA-PBE, using Cu Kα (weighted mean of Kα1 and Kα2).
Intensities are scaled so that the largest is 1000.

Most intense lines, 2θ from 5° to 70°, by angle:
d [Å]	2theta	I_rel
6.608	13.40	177
2.733	32.77	222
2.681	33.42	375
2.501	35.90	1000
2.435	36.91	175
1.914	47.50	159
1.596	57.78	79
1.511	61.36	214
1.406	66.48	86
1.371	68.42	95

Structure:
abc: 5.363 13.216 5.466
angles: 90.00 90.00 90.00
Sites, in units of the cell vectors:
Zr 0.250 0.130 0.218
Zr 0.250 0.250 0.717
Zr 0.250 0.370 0.218
Zr 0.250 0.750 0.675
Zr 0.750 0.250 0.325
Zr 0.750 0.630 0.782
Zr 0.750 0.750 0.283
Zr 0.750 0.870 0.782
Pa 0.250 0.001 0.720
Pa 0.250 0.499 0.720
Pa 0.250 0.614 0.173
Pa 0.250 0.886 0.173
Pa 0.750 0.114 0.827
Pa 0.750 0.386 0.827
Pa 0.750 0.501 0.280
Pa 0.750 0.999 0.280


# 4
The following is a simulated powder diffraction line list of ZrNbFePb. It was derived from a cell relaxed with GGA-PBE, using Cu Kα (weighted mean of Kα1 and Kα2).
Intensities are scaled so that the largest is 1000.

Most intense lines, 2θ from 5° to 70°, by angle:
d [Å]	2theta	I_rel
3.847	23.12	153
3.331	26.76	123
2.356	38.21	1000
2.009	45.13	88
1.923	47.26	38
1.666	55.14	170
1.529	60.58	39
1.490	62.32	53
1.360	69.06	344

Structure:
abc: 4.711 4.711 4.711
angles: 60.00 60.00 60.00
Sites, in units of the cell vectors:
Zr 0.000 0.000 0.000
Nb 0.250 0.250 0.250
Fe 0.750 0.750 0.750
Pb 0.500 0.500 0.500


# 5
The following is a simulated powder diffraction line list of Ba2Zn2P2O. It was derived from a cell relaxed with GGA-PBE, using Cu Kα (weighted mean of Kα1 and Kα2).
Intensities are scaled so that the largest is 1000.

Most intense lines, 2θ from 5° to 70°, by angle:
d [Å]	2theta	I_rel
3.760	23.66	390
3.205	27.84	385
2.994	29.84	263
2.974	30.05	293
2.873	31.13	356
2.857	31.31	459
2.678	33.47	1000
2.606	34.41	581
2.022	44.83	314
1.688	54.36	324

Structure:
abc: 6.385 6.385 7.408
angles: 120.56 120.56 36.92
Sites, in units of the cell vectors:
Ba 0.048 0.048 0.293
Ba 0.952 0.952 0.707
Zn 0.303 0.303 0.918
Zn 0.697 0.697 0.082
P 0.309 0.309 0.268
P 0.691 0.691 0.732
O 0.500 0.500 0.000


# 6
The following is a simulated powder diffraction line list of AgBBr6. It was derived from a cell relaxed with GGA-PBE, using Cu Kα (weighted mean of Kα1 and Kα2).
Intensities are scaled so that the largest is 1000.

Most intense lines, 2θ from 5° to 70°, by angle:
d [Å]	2theta	I_rel
5.555	15.95	257
2.901	30.82	125
2.778	32.23	1000
2.405	37.39	519
2.207	40.88	77
1.852	49.21	90
1.701	53.90	335
1.451	64.21	363
1.389	67.44	108
1.347	69.81	51

Structure:
abc: 6.804 6.804 6.804
angles: 60.00 60.00 60.00
Sites, in units of the cell vectors:
Ag 0.000 0.000 0.000
B 0.250 0.250 0.250
Br 0.015 0.015 0.485
Br 0.015 0.485 0.015
Br 0.015 0.485 0.485
Br 0.485 0.015 0.015
Br 0.485 0.015 0.485
Br 0.485 0.485 0.015


# 7
The following is a simulated powder diffraction line list of HfZrTlZn2. It was derived from a cell relaxed with GGA-PBE, using Cu Kα (weighted mean of Kα1 and Kα2).
Intensities are scaled so that the largest is 1000.

Most intense lines, 2θ from 5° to 70°, by angle:
d [Å]	2theta	I_rel
6.884	12.86	199
3.146	28.37	358
2.537	35.39	1000
2.350	38.29	583
2.322	38.77	610
2.161	41.80	309
1.609	57.27	121
1.591	57.97	349
1.565	59.04	87
1.432	65.13	75

Structure:
abc: 3.217 7.215 7.215
angles: 34.86 90.00 90.00
Sites, in units of the cell vectors:
Hf 0.000 0.000 0.000
Zr 0.000 0.755 0.755
Tl 0.500 0.377 0.377
Zn 0.500 0.172 0.172
Zn 0.500 0.580 0.580


# 8
The following is a simulated powder diffraction line list of Gd2YMg4Ga2. It was derived from a cell relaxed with GGA-PBE, using Cu Kα (weighted mean of Kα1 and Kα2).
Intensities are scaled so that the largest is 1000.

Most intense lines, 2θ from 5° to 70°, by angle:
d [Å]	2theta	I_rel
6.450	13.73	479
3.727	23.88	168
3.228	27.63	265
2.872	31.14	873
2.624	34.17	1000
2.441	36.82	192
2.253	40.02	235
1.792	50.97	152
1.665	55.17	182
1.655	55.52	188

Structure:
abc: 4.506 7.448 7.448
angles: 119.84 90.00 90.00
Sites, in units of the cell vectors:
Gd 0.000 0.217 0.783
Gd 0.000 0.783 0.217
Y 0.000 0.350 0.350
Mg 0.000 0.782 0.782
Mg 0.500 0.036 0.036
Mg 0.500 0.530 0.783
Mg 0.500 0.783 0.530
Ga 0.500 0.117 0.450
Ga 0.500 0.450 0.117


# 9
The following is a simulated powder diffraction line list of BeZn2Si. It was derived from a cell relaxed with GGA-PBE, using Cu Kα (weighted mean of Kα1 and Kα2).
Intensities are scaled so that the largest is 1000.

Most intense lines, 2θ from 5° to 70°, by angle:
d [Å]	2theta	I_rel
3.482	25.58	494
3.015	29.63	22
2.132	42.39	1000
1.818	50.17	237
1.741	52.57	6
1.508	61.51	157
1.384	67.73	89
1.348	69.74	7

Structure:
abc: 4.264 4.264 4.264
angles: 60.00 60.00 60.00
Sites, in units of the cell vectors:
Be 0.000 0.000 0.000
Zn 0.500 0.500 0.500
Zn 0.750 0.750 0.750
Si 0.250 0.250 0.250


# 10
The following is a simulated powder diffraction line list of Li4HoOsO6. It was derived from a cell relaxed with GGA-PBE, using Cu Kα (weighted mean of Kα1 and Kα2).
Intensities are scaled so that the largest is 1000.

Most intense lines, 2θ from 5° to 70°, by angle:
d [Å]	2theta	I_rel
4.916	18.04	1000
4.625	19.19	220
4.406	20.15	399
3.890	22.86	295
3.369	26.46	196
2.626	34.14	393
2.607	34.40	199
2.504	35.86	342
2.166	41.69	481
2.144	42.16	207

Structure:
abc: 5.333 5.333 5.208
angles: 99.46 99.46 120.30
Sites, in units of the cell vectors:
Li 0.000 0.000 0.000
Li 0.374 0.626 0.000
Li 0.685 0.315 0.000
Li 0.851 0.149 0.500
Ho 0.185 0.815 0.500
Os 0.518 0.482 0.500
O 0.131 0.399 0.258
O 0.283 0.256 0.734
O 0.445 0.106 0.259
O 0.601 0.869 0.742
O 0.744 0.717 0.266
O 0.894 0.555 0.741


# 11
The following is a simulated powder diffraction line list of Nd2SmCu4Ge4. It was derived from a cell relaxed with GGA-PBE, using Cu Kα (weighted mean of Kα1 and Kα2).
Intensities are scaled so that the largest is 1000.

Most intense lines, 2θ from 5° to 70°, by angle:
d [Å]	2theta	I_rel
2.630	34.10	251
2.610	34.36	886
2.548	35.22	1000
2.381	37.78	214
2.161	41.80	389
2.029	44.67	289
1.945	46.71	129
1.670	55.00	126
1.618	56.91	131
1.479	62.83	203

Structure:
abc: 8.185 8.185 8.185
angles: 149.38 131.47 58.48
Sites, in units of the cell vectors:
Nd 0.132 0.132 0.000
Nd 0.868 0.868 0.000
Sm 0.500 0.000 0.500
Cu 0.147 0.333 0.814
Cu 0.481 0.667 0.814
Cu 0.519 0.333 0.186
Cu 0.853 0.667 0.186
Ge 0.191 0.500 0.691
Ge 0.284 0.784 0.500
Ge 0.716 0.216 0.500
Ge 0.809 0.500 0.309


# 12
The following is a simulated powder diffraction line list of ZnI. It was derived from a cell relaxed with GGA-PBE, using Cu Kα (weighted mean of Kα1 and Kα2).
Intensities are scaled so that the largest is 1000.

Most intense lines, 2θ from 5° to 70°, by angle:
d [Å]	2theta	I_rel
3.535	25.20	145
3.061	29.17	1000
2.164	41.73	747
1.846	49.37	68
1.767	51.73	262
1.530	60.49	121
1.404	66.58	30
1.369	68.55	329

Structure:
abc: 4.329 4.329 4.329
angles: 60.00 60.00 60.00
Sites, in units of the cell vectors:
Zn 0.000 0.000 0.000
I 0.500 0.500 0.500


# 13
The following is a simulated powder diffraction line list of Mg2IrO4. It was derived from a cell relaxed with GGA-PBE, using Cu Kα (weighted mean of Kα1 and Kα2).
Intensities are scaled so that the largest is 1000.

Most intense lines, 2θ from 5° to 70°, by angle:
d [Å]	2theta	I_rel
4.912	18.06	619
3.008	29.70	1000
2.565	34.98	902
2.127	42.51	32
1.952	46.53	222
1.736	52.71	407
1.637	56.18	336
1.504	61.68	297
1.438	64.84	137
1.345	69.94	174

Structure:
abc: 6.015 6.015 6.015
angles: 60.00 60.00 60.00
Sites, in units of the cell vectors:
Mg 0.000 0.000 0.000
Mg 0.000 0.000 0.500
Mg 0.000 0.500 0.000
Mg 0.500 0.000 0.000
Ir 0.375 0.375 0.375
Ir 0.625 0.625 0.625
O 0.225 0.758 0.758
O 0.242 0.242 0.242
O 0.242 0.242 0.775
O 0.242 0.775 0.242
O 0.758 0.225 0.758
O 0.758 0.758 0.225
O 0.758 0.758 0.758
O 0.775 0.242 0.242


# 14
The following is a simulated powder diffraction line list of Dy2TmSn3Pd3. It was derived from a cell relaxed with GGA-PBE, using Cu Kα (weighted mean of Kα1 and Kα2).
Intensities are scaled so that the largest is 1000.

Most intense lines, 2θ from 5° to 70°, by angle:
d [Å]	2theta	I_rel
2.715	32.99	1000
2.512	35.75	747
2.501	35.91	284
2.206	40.91	267
2.200	41.02	134
2.098	43.11	192
1.932	47.04	218
1.528	60.59	187
1.453	64.10	213
1.411	66.24	201

Structure:
abc: 3.863 7.628 7.628
angles: 119.83 90.00 90.00
Sites, in units of the cell vectors:
Dy 0.000 0.201 0.799
Dy 0.000 0.799 0.201
Tm 0.000 0.397 0.397
Sn 0.500 0.062 0.062
Sn 0.500 0.535 0.798
Sn 0.500 0.798 0.535
Pd 0.000 0.797 0.797
Pd 0.500 0.135 0.465
Pd 0.500 0.465 0.135